Calculated PXRD pattern
Compound: KHOsOF4
Radiation: Cu Kα X-rays
Structure: a DFT-relaxed cell (GGA-PBE, OQMD)
Intensities are scaled so that the largest is 100.

Peak list (6 most intense, 15° ≤ 2θ ≤ 90°, low angle first)
Position (°2θ)  I (rel.)
18.63  88
20.31  92
24.89  89
30.30  100
31.35  49
55.54  36

Crystal structure
a b c (Å): 4.991 5.651 7.239
angles (deg): 90.00 107.45 90.00
Element x y z (fractional)
K1 0.147 0.000 0.308
K2 0.853 0.500 0.692
H1 0.201 0.463 0.359
H2 0.799 0.963 0.641
Os1 0.481 0.044 0.833
Os2 0.519 0.544 0.167
O1 0.410 0.466 0.388
O2 0.590 0.966 0.612
F1 0.112 0.907 0.677
F2 0.154 0.685 0.037
F3 0.347 0.348 0.723
F4 0.388 0.215 0.066
F5 0.612 0.715 0.934
F6 0.653 0.848 0.277
F7 0.846 0.185 0.963
F8 0.888 0.407 0.323